Diffraction record for LiFeSiO4. The X-ray powder pattern is computed, not measured: it uses a crystal structure in the Materials Project, relaxed with GGA+U and Cu Kα X-rays.
Kinematic intensities with the Lorentz-polarization factor, no thermal factor.

Top 6 peaks for 10° ≤ 2θ ≤ 80°, by angle:
| d/Å | Rel. int. |
| --- | --- |
| 4.076 | 77.3 |
| 4.056 | 77.4 |
| 3.655 | 75.0 |
| 3.639 | 68.7 |
| 3.368 | 100.0 |
| 2.608 | 64.3 |

Crystal structure
a = 5.100 Å, b = 5.217 Å, c = 6.737 Å
α = 90.00°, β = 89.71°, γ = 89.75°
Space group P1 (No. 1)
Inequivalent atoms, fractional coordinates:
Li 0.000 0.000 0.000 [1 per cell]
Li 0.497 0.503 0.361 [1 per cell]
Fe 0.498 0.002 0.002 [1 per cell]
Fe 0.997 0.505 0.358 [1 per cell]
Si 0.247 0.007 0.497 [1 per cell]
Si 0.749 0.503 0.866 [1 per cell]
O 0.050 0.871 0.366 [1 per cell]
O 0.235 0.327 0.448 [1 per cell]
O 0.262 0.944 0.805 [1 per cell]
O 0.444 0.891 0.344 [1 per cell]
O 0.552 0.367 0.996 [1 per cell]
O 0.737 0.822 0.919 [1 per cell]
O 0.763 0.442 0.556 [1 per cell]
O 0.947 0.388 0.016 [1 per cell]